No. 1
Tb2CeHo5Tm: calculated X-ray diffraction stick pattern (Cu Kα), based on the PBE geometry in Alexandria.
Kinematic intensities with the Lorentz-polarization factor, no thermal factor.

Cell and atoms:
```
data_Tb2CeHo5Tm
_chemical_formula_sum 'Tb8 Ce4 Ho20 Tm4'
_space_group_name_H-M_alt 'C m c 21'
_space_group_IT_number 36
_cell_length_a 5.661
_cell_length_b 21.434
_cell_length_c 9.484
_cell_angle_alpha 90.00
_cell_angle_beta 90.00
_cell_angle_gamma 90.00
loop_
_space_group_symop_operation_xyz
'x,y,z'
'-x,-y,z+1/2'
'-x,y,z'
'x,-y,z+1/2'
'x+1/2,y+1/2,z'
'-x+1/2,-y+1/2,z+1/2'
'-x+1/2,y+1/2,z'
'x+1/2,-y+1/2,z+1/2'
loop_
_atom_site_label
_atom_site_fract_x
_atom_site_fract_y
_atom_site_fract_z
Tb1 0.000 0.114 0.000
Tb2 0.000 0.133 0.386
Ce1 0.000 0.190 0.697
Ho1 0.000 0.014 0.690
Ho2 0.000 0.267 0.011
Ho3 0.000 0.306 0.392
Ho4 0.000 0.395 0.724
Ho5 0.000 0.471 0.425
Tm1 0.000 0.403 0.108
```

Peak list (6 most intense, 2θ = 10–90°, low angle first)
- d 3.343, 26.67 deg, intensity 23, (0 6 1)
- d 2.830, 31.61 deg, intensity 59, (2 0 0)
- d 2.773, 32.29 deg, intensity 100, (1 5 2)
- d 2.738, 32.71 deg, intensity 59, (1 1 3)
- d 2.591, 34.62 deg, intensity 35, (1 7 1)
- d 1.623, 56.73 deg, intensity 20, (3 5 2)

No. 2
CeSm4Rh3: calculated X-ray diffraction stick pattern (Cu Kα), based on the PBE geometry in Alexandria.
Kinematic intensities with the Lorentz-polarization factor, no thermal factor.

Cell and atoms:
```
data_CeSm4Rh3
_chemical_formula_sum 'Ce4 Sm16 Rh12'
_space_group_name_H-M_alt 'I 4/m c m'
_space_group_IT_number 140
_space_group_name_Hall '-I 4 2c'
_cell_length_a 11.248
_cell_length_b 11.248
_cell_length_c 6.128
_cell_angle_alpha 90.00
_cell_angle_beta 90.00
_cell_angle_gamma 90.00
loop_
_atom_site_label
_atom_site_fract_x
_atom_site_fract_y
_atom_site_fract_z
Ce1 0.000 0.500 0.250
Sm1 0.085 0.210 0.000
Rh1 0.000 0.000 0.250
Rh2 0.151 0.349 0.500
```

Peak list (6 most intense, 2θ = 10–90°, low angle first)
- d 2.780, 32.20 deg, intensity 91, (3 2 1)
- d 2.690, 33.30 deg, intensity 50, (2 0 2)
- d 2.515, 35.70 deg, intensity 59, (4 2 0)
- d 2.492, 36.04 deg, intensity 100, (4 1 1)
- d 2.427, 37.04 deg, intensity 46, (2 2 2)
- d 1.635, 56.28 deg, intensity 33, (4 1 3)

No. 3
EuNiHg: calculated X-ray diffraction stick pattern (Cu Kα), based on the PBE geometry in Alexandria.
Kinematic intensities with the Lorentz-polarization factor, no thermal factor.

Cell and atoms:
```
data_EuNiHg
_chemical_formula_sum 'Eu1 Ni1 Hg1'
_space_group_name_H-M_alt 'P -6 m 2'
_space_group_IT_number 187
_space_group_name_Hall 'P -6 2'
_cell_length_a 4.5303
_cell_length_b 4.5303
_cell_length_c 3.9762
_cell_angle_alpha 90.00
_cell_angle_beta 90.00
_cell_angle_gamma 120.00
loop_
_atom_site_label
_atom_site_fract_x
_atom_site_fract_y
_atom_site_fract_z
Eu1 0.0000 0.0000 0.0000
Ni1 0.3333 0.6667 0.5000
Hg1 0.6667 0.3333 0.5000
```

Peak list (6 most intense, 2θ = 10–90°, low angle first)
- d 3.923, 22.66 deg, intensity 17, (1 0 0)
- d 2.793, 32.05 deg, intensity 100, (1 0 1)
- d 2.265, 39.80 deg, intensity 51, (1 1 0)
- d 1.759, 51.98 deg, intensity 26, (2 0 1)
- d 1.494, 62.12 deg, intensity 27, (1 1 2)
- d 1.389, 67.40 deg, intensity 24, (2 1 1)